For CsTi2WO8, a cell relaxed with GGA+U gives the simulated X-ray diffraction stick pattern in this record (Cu Ka).

Cell and atoms:
```
data_CsTi2WO8
_symmetry_space_group_name_H-M 'P -3 m 1'
_symmetry_Int_Tables_number 164
_symmetry_space_group_name_Hall '-P 3 2"'
_cell_length_a 5.7845
_cell_length_b 5.7845
_cell_length_c 8.4198
_cell_angle_alpha 90.00
_cell_angle_beta 90.00
_cell_angle_gamma 120.00
loop_
_atom_site_label
_atom_site_type_symbol
_atom_site_fract_x
_atom_site_fract_y
_atom_site_fract_z
Cs1 Cs 0.0000 0.0000 0.0000
Ti1 Ti 0.3333 0.6667 0.7042
W1 W 0.0000 0.0000 0.5000
O1 O 0.1566 0.3132 0.6346
O2 O 0.3333 0.6667 0.9088
```

Principal peaks in the range 2θ = 10–90°, by angle:
10.5 deg, I 19.0
17.7 deg, I 89.4
20.6 deg, I 33.2
27.7 deg, I 100.0
30.9 deg, I 52.9
37.7 deg, I 23.0
42.0 deg, I 34.5
46.8 deg, I 17.8
53.0 deg, I 33.4
53.9 deg, I 16.8